(1)
The following is a theoretical X-ray diffraction stick pattern of AcThPt. It was derived from DFT lattice parameters and positions (PBE), using λ = 1.5418 Å (Cu Kα).
Neutral-atom scattering factors, no anomalous dispersion.

The 10 most intense peaks (5 to 70 degrees two-theta), in order of rising 2θ:
2θ/deg	intensity	(hkl)
11.70	63	0 0 1
24.01	34	1 1 0
26.79	23	1 1 1
29.12	100	1 0 2
33.87	72	1 1 2
34.21	88	2 0 0
45.53	61	2 1 2
49.16	33	2 2 0
54.48	22	1 1 4
61.03	27	3 1 2

Structure:
Lattice parameters (Å, degrees): 5.2419 5.2419 7.5625 90.00 90.00 90.00
Space group P4/nmm (No. 129, origin choice 2)
Symmetry-distinct sites (fractional):
Ac 0.2500 0.2500 0.1738 (multiplicity 2)
Th 0.2500 0.2500 0.6546 (multiplicity 2)
Pt 0.2500 0.7500 0.5000 (multiplicity 2)

(2)
The following is a theoretical X-ray diffraction stick pattern of Ac2Y2Re. It was derived from DFT lattice parameters and positions (PBE), using λ = 1.5418 Å (Cu Kα).
Neutral-atom scattering factors, no anomalous dispersion.

The 10 most intense peaks (5 to 70 degrees two-theta), in order of rising 2θ:
2θ/deg	intensity	(hkl)
10.25	100	0 0 2
26.00	41	1 0 3
29.44	21	1 0 4
33.38	55	1 0 5
36.47	56	1 1 0
37.71	11	1 0 6
37.98	28	1 1 2
47.20	13	1 0 8
50.27	18	2 0 5
63.68	17	2 1 5

Structure:
Lattice parameters (Å, degrees): 4.9272 4.9272 17.2623 90.00 90.00 120.00
Space group P6_3/mmc (No. 194)
Symmetry-distinct sites (fractional):
Ac 0.3333 0.6667 0.0639 (multiplicity 4)
Y 0.3333 0.6667 0.6527 (multiplicity 4)
Re 0.0000 0.0000 0.0000 (multiplicity 2)

(3)
The following is a theoretical X-ray diffraction stick pattern of Ac2Th2Se7. It was derived from DFT lattice parameters and positions (PBE), using λ = 1.5418 Å (Cu Kα).
Neutral-atom scattering factors, no anomalous dispersion.

The 10 most intense peaks (5 to 70 degrees two-theta), in order of rising 2θ:
2θ/deg	intensity	(hkl)
22.22	70	0 2 2
22.38	35	1 0 1
23.23	26	0 4 0
25.26	44	1 2 1
32.48	100	1 4 1
35.24	24	1 0 3
37.21	51	1 2 3
40.22	36	0 6 2
41.19	40	2 0 0
58.92	24	2 6 2

Structure:
Lattice parameters (Å, degrees): 4.3847 15.3137 9.3861 90.00 90.00 90.00
Space group Imm2 (No. 44)
Symmetry-distinct sites (fractional):
Ac 0.0000 0.2368 0.0000 (multiplicity 4)
Th 0.0000 0.0000 0.2574 (multiplicity 2)
Th 0.0000 0.5000 0.2098 (multiplicity 2)
Se 0.0000 0.0000 0.9321 (multiplicity 2)
Se 0.0000 0.1050 0.5305 (multiplicity 4)
Se 0.0000 0.3197 0.3003 (multiplicity 4)
Se 0.0000 0.3720 0.7088 (multiplicity 4)

(4)
The following is a theoretical X-ray diffraction stick pattern of Ac2ZnSi3. It was derived from DFT lattice parameters and positions (PBE), using λ = 1.5418 Å (Cu Kα).
Neutral-atom scattering factors, no anomalous dispersion.

The 10 most intense peaks (5 to 70 degrees two-theta), in order of rising 2θ:
2θ/deg	intensity	(hkl)
19.05	22	0 1 0
24.29	45	1 0 1
24.73	21	0 0 2
31.05	100	1 1 1
31.40	49	0 1 2
38.65	19	0 2 0
43.28	27	1 0 3
46.18	17	1 2 1
53.77	22	2 1 2
59.40	21	1 2 3

Structure:
Lattice parameters (Å, degrees): 4.2556 4.6593 7.2010 90.00 90.00 90.00
Space group Pmm2 (No. 25)
Symmetry-distinct sites (fractional):
Ac 0.0000 0.0000 0.0000 (multiplicity 1)
Ac 0.5000 0.0000 0.4882 (multiplicity 1)
Zn 0.0000 0.5000 0.6646 (multiplicity 1)
Si 0.0000 0.5000 0.3248 (multiplicity 1)
Si 0.5000 0.5000 0.1622 (multiplicity 1)
Si 0.5000 0.5000 0.8289 (multiplicity 1)

(5)
The following is a theoretical X-ray diffraction stick pattern of Ac2Zn6Si3. It was derived from DFT lattice parameters and positions (PBE), using λ = 1.5418 Å (Cu Kα).
Neutral-atom scattering factors, no anomalous dispersion.

The 10 most intense peaks (5 to 70 degrees two-theta), in order of rising 2θ:
2θ/deg	intensity	(hkl)
23.00	25	1 1 0
26.62	15	2 0 0
31.42	100	1 1 1
35.46	22	2 1 0
40.40	27	3 0 0
41.63	35	2 1 1
42.98	17	0 0 2
52.05	15	2 2 1
60.45	17	3 0 2
67.88	24	4 1 1

Structure:
Lattice parameters (Å, degrees): 7.7346 7.7346 4.2085 90.00 90.00 120.00
Space group P-62m (No. 189)
Symmetry-distinct sites (fractional):
Ac 0.3333 0.6667 0.0000 (multiplicity 2)
Zn 0.0000 0.2967 0.5000 (multiplicity 3)
Zn 0.0000 0.8118 0.0000 (multiplicity 3)
Si 0.0000 0.6331 0.5000 (multiplicity 3)

(6)
The following is a theoretical X-ray diffraction stick pattern of AcTmTl. It was derived from DFT lattice parameters and positions (PBE), using λ = 1.5418 Å (Cu Kα).
Neutral-atom scattering factors, no anomalous dispersion.

The 10 most intense peaks (5 to 70 degrees two-theta), in order of rising 2θ:
2θ/deg	intensity	(hkl)
25.58	33	2 0 0
27.73	71	2 0 1
27.90	47	1 1 -2
33.41	100	2 0 -2
36.49	74	2 2 0
36.89	30	1 1 3
46.55	24	3 1 -2
52.56	26	4 0 0
52.86	22	3 1 3
63.73	32	4 2 -2

Structure:
Lattice parameters (Å, degrees): 6.9644 6.9645 8.4108 90.00 90.09 90.00
Space group C2/m (No. 12)
Symmetry-distinct sites (fractional):
Ac 0.2495 0.0000 0.1489 (multiplicity 4)
Tm 0.0000 0.2501 0.5000 (multiplicity 4)
Tl 0.2494 0.5000 0.2601 (multiplicity 4)

(7)
The following is a theoretical X-ray diffraction stick pattern of AcTmZr. It was derived from DFT lattice parameters and positions (PBE), using λ = 1.5418 Å (Cu Kα).
Neutral-atom scattering factors, no anomalous dispersion.

The 10 most intense peaks (5 to 70 degrees two-theta), in order of rising 2θ:
2θ/deg	intensity	(hkl)
15.70	18	0 0 1
25.39	96	1 0 1
28.17	100	1 1 0
31.71	37	0 0 2
40.27	39	2 0 0
42.93	65	1 1 2
48.20	36	2 1 1
52.14	37	2 0 2
65.94	18	3 1 0
67.87	17	2 2 2

Structure:
Lattice parameters (Å, degrees): 4.4794 4.4794 5.6428 90.00 90.00 90.00
Space group P4/mmm (No. 123)
Symmetry-distinct sites (fractional):
Ac 0.0000 0.0000 0.0000 (multiplicity 1)
Tm 0.5000 0.5000 0.5000 (multiplicity 1)
Zr 0.5000 0.5000 0.0000 (multiplicity 1)

(8)
The following is a theoretical X-ray diffraction stick pattern of AcZn. It was derived from DFT lattice parameters and positions (PBE), using λ = 1.5418 Å (Cu Kα).
Neutral-atom scattering factors, no anomalous dispersion.

The 10 most intense peaks (5 to 70 degrees two-theta), in order of rising 2θ:
2θ/deg	intensity	(hkl)
24.78	44	1 1 1
28.07	100	1 2 1
28.22	46	0 1 2
30.25	25	0 4 0
32.87	41	1 3 1
33.25	28	0 4 1
33.52	18	1 0 2
34.39	23	1 1 2
39.09	34	2 0 0
48.91	21	2 1 2

Structure:
Lattice parameters (Å, degrees): 4.6085 11.8191 6.5640 90.00 90.00 90.00
Space group Pmc2_1 (No. 26)
Symmetry-distinct sites (fractional):
Ac 0.0000 0.1024 0.0000 (multiplicity 2)
Ac 0.0000 0.3985 0.2701 (multiplicity 2)
Ac 0.5000 0.3393 0.7618 (multiplicity 2)
Zn 0.0000 0.1736 0.5274 (multiplicity 2)
Zn 0.5000 0.0671 0.6473 (multiplicity 2)
Zn 0.5000 0.1860 0.3037 (multiplicity 2)

(9)
The following is a theoretical X-ray diffraction stick pattern of AcZr3. It was derived from DFT lattice parameters and positions (PBE), using λ = 1.5418 Å (Cu Kα).
Neutral-atom scattering factors, no anomalous dispersion.

The 10 most intense peaks (5 to 70 degrees two-theta), in order of rising 2θ:
2θ/deg	intensity	(hkl)
21.11	20	1 1 0
25.79	20	1 1 1
30.57	39	0 2 1
33.07	47	2 0 0
33.95	69	1 0 2
34.87	100	1 2 1
45.66	26	2 2 1
60.23	20	3 2 1
65.65	21	2 4 0
66.21	19	1 4 2

Structure:
Lattice parameters (Å, degrees): 5.4174 6.6803 6.0483 90.00 90.00 90.00
Space group Pmmn (No. 59, origin choice 2)
Symmetry-distinct sites (fractional):
Ac 0.2500 0.2500 0.1333 (multiplicity 2)
Zr 0.2500 0.0069 0.6346 (multiplicity 4)
Zr 0.2500 0.7500 0.2136 (multiplicity 2)

(10)
The following is a theoretical X-ray diffraction stick pattern of AcZr3. It was derived from DFT lattice parameters and positions (PBE), using λ = 1.5418 Å (Cu Kα).
Neutral-atom scattering factors, no anomalous dispersion.

The 10 most intense peaks (5 to 70 degrees two-theta), in order of rising 2θ:
2θ/deg	intensity	(hkl)
22.24	26	1 0 1
26.04	10	1 1 0
30.16	24	2 0 0
33.09	26	0 0 2
34.50	100	2 0 1
45.37	15	2 0 2
53.56	17	2 2 0
60.01	20	2 0 3
64.42	20	2 2 2
65.29	14	4 0 1

Structure:
Lattice parameters (Å, degrees): 6.8439 6.8439 5.4152 90.00 90.00 120.00
Space group P6_3/mmc (No. 194)
Symmetry-distinct sites (fractional):
Ac 0.3333 0.6667 0.2500 (multiplicity 2)
Zr 0.1512 0.3025 0.7500 (multiplicity 6)

(11)
The following is a theoretical X-ray diffraction stick pattern of Ac3Zr4. It was derived from DFT lattice parameters and positions (PBE), using λ = 1.5418 Å (Cu Kα).
Neutral-atom scattering factors, no anomalous dispersion.

The 10 most intense peaks (5 to 70 degrees two-theta), in order of rising 2θ:
2θ/deg	intensity	(hkl)
20.86	14	2 0 0
27.10	81	0 1 2
32.75	100	3 1 -1
34.60	31	0 2 0
36.55	32	2 0 2
51.21	25	2 2 2
56.91	18	5 1 -5
57.55	11	0 3 2
60.21	16	2 1 -6
60.83	17	3 3 -1

Structure:
Lattice parameters (Å, degrees): 9.8309 5.1855 9.8341 90.00 119.99 90.00
Space group P2_1/m (No. 11)
Symmetry-distinct sites (fractional):
Ac 0.1478 0.2500 0.3495 (multiplicity 2)
Ac 0.1523 0.2500 0.8019 (multiplicity 2)
Ac 0.2996 0.7500 0.6493 (multiplicity 2)
Zr 0.1179 0.7500 0.0599 (multiplicity 2)
Zr 0.3336 0.2500 0.1681 (multiplicity 2)
Zr 0.4404 0.7500 0.0586 (multiplicity 2)
Zr 0.4414 0.7500 0.3824 (multiplicity 2)

(12)
The following is a theoretical X-ray diffraction stick pattern of AlAg5. It was derived from DFT lattice parameters and positions (PBE), using λ = 1.5418 Å (Cu Kα).
Neutral-atom scattering factors, no anomalous dispersion.

The 10 most intense peaks (5 to 70 degrees two-theta), in order of rising 2θ:
2θ/deg	intensity	(hkl)
19.13	88	1 0 0
38.03	46	0 0 2
38.62	100	1 1 1
38.81	24	2 0 0
42.91	22	1 0 2
43.44	95	2 0 1
52.15	12	2 1 0
55.47	16	2 0 2
63.25	22	3 0 1
69.11	17	1 1 3

Structure:
Lattice parameters (Å, degrees): 5.3582 5.3582 4.7320 90.00 90.00 120.00
Space group P6/mmm (No. 191)
Symmetry-distinct sites (fractional):
Al 0.0000 0.0000 0.0000 (multiplicity 1)
Ag 0.0000 0.5000 0.5000 (multiplicity 3)
Ag 0.3333 0.6667 0.0000 (multiplicity 2)